(1)
# Ba4Nd2Cu2O9
Theoretical powder diffraction line list, Cu Kα (λ = 1.5418 Å). Input: a crystal structure in Alexandria, relaxed with PBE.

Crystal structure
```
34
Lattice="12.110 0.000 0.000 0.000 12.110 0.000 0.000 0.000 3.917" Properties=species:S:1:pos:R:3 pbc="T T T"
Ba 1.379 2.073 0.935
Ba 2.073 10.731 2.982
Ba 3.982 4.676 1.024
Ba 4.676 8.128 2.893
Ba 7.434 3.982 2.893
Ba 8.128 7.434 1.024
Ba 10.037 1.379 2.982
Ba 10.731 10.037 0.935
Nd 1.332 7.387 0.979
Nd 4.723 1.332 2.938
Nd 7.387 10.778 2.938
Nd 10.778 4.723 0.979
Cu 1.201 4.854 2.938
Cu 4.854 10.909 0.979
Cu 7.256 1.201 0.979
Cu 10.909 7.256 2.938
O 0.000 0.000 0.000
O 0.278 8.592 2.935
O 1.129 4.926 0.979
O 2.537 6.333 2.941
O 2.947 9.002 0.979
O 3.108 2.947 2.938
O 3.518 0.278 0.982
O 4.926 10.981 2.938
O 5.777 2.537 0.976
O 6.055 6.055 1.958
O 6.333 9.573 0.976
O 7.184 1.129 2.938
O 8.592 11.832 0.982
O 9.002 9.163 2.938
O 9.163 3.108 0.979
O 9.573 5.777 2.941
O 10.981 7.184 0.979
O 11.832 3.518 2.935
```

Principal peaks in the range 2θ = 5–70°, in order of rising 2θ:
d 3.359, I = 20
d 3.028, I = 39
d 2.890, I = 100
d 2.375, I = 10
d 2.307, I = 14
d 2.141, I = 13
d 2.060, I = 23
d 1.958, I = 14
d 1.720, I = 15
d 1.663, I = 10
d 1.644, I = 14
d 1.473, I = 12

---

(2)
# Ba3NdCu2O6
Theoretical powder diffraction line list, Cu Kα (λ = 1.5418 Å). Input: a crystal structure in Alexandria, relaxed with PBE.

Crystal structure
```
12
Lattice="6.291 0.000 0.000 -3.145 5.448 0.000 0.000 0.000 6.970" Properties=species:S:1:pos:R:3 pbc="T T T"
Ba 0.000 0.000 0.000
Ba 0.000 3.632 4.573
Ba 3.145 1.816 2.397
Nd 0.000 0.000 3.485
Cu 0.000 3.632 1.473
Cu 3.145 1.816 5.497
O 0.000 1.821 2.043
O -1.568 4.537 2.043
O 1.577 0.911 4.928
O 1.568 4.537 2.043
O 4.713 0.911 4.928
O 3.145 3.626 4.928
```

Principal peaks in the range 2θ = 5–70°, in order of rising 2θ:
d 6.970, I = 13
d 5.448, I = 8
d 3.145, I = 100
d 2.936, I = 81
d 2.537, I = 7
d 2.146, I = 46
d 1.816, I = 20
d 1.773, I = 37
d 1.660, I = 12
d 1.573, I = 17
d 1.468, I = 10
d 1.386, I = 16

---

(3)
# Ba3Nd3Cu6O14
Theoretical powder diffraction line list, Cu Kα (λ = 1.5418 Å). Input: a crystal structure in Alexandria, relaxed with PBE.

Crystal structure
```
26
Lattice="0.000 3.942 11.791 3.867 0.000 11.791 3.867 3.942 0.000" Properties=species:S:1:pos:R:3 pbc="T T T"
Ba 0.000 0.000 0.000
Ba 3.867 3.942 4.362
Ba 3.867 3.942 16.031
Nd 3.867 3.942 8.100
Nd 3.867 3.942 11.774
Nd 3.867 3.942 19.823
Cu 1.933 1.971 2.085
Cu 1.933 1.971 6.361
Cu 1.933 1.971 9.831
Cu 5.800 5.913 13.875
Cu 5.800 5.913 18.152
Cu 5.800 5.913 21.622
O 1.933 1.971 0.219
O 3.867 1.931 6.636
O 5.750 3.942 6.534
O 5.909 3.942 9.615
O 1.933 1.971 3.946
O 3.867 2.200 9.815
O 5.479 3.942 13.675
O 5.800 5.913 12.009
O 1.984 3.942 6.534
O 3.867 5.953 6.636
O 3.867 5.684 9.815
O 5.800 5.913 15.736
O 1.825 3.942 9.615
O 2.255 3.942 13.675
```

Principal peaks in the range 2θ = 5–70°, in order of rising 2θ:
d 11.791, I = 8
d 3.937, I = 12
d 2.783, I = 47
d 2.758, I = 100
d 2.259, I = 15
d 1.971, I = 15
d 1.965, I = 10
d 1.933, I = 14
d 1.602, I = 36
d 1.588, I = 18
d 1.380, I = 9
d 1.378, I = 7

---

(4)
# Ba4PrNdCu6O14
Theoretical powder diffraction line list, Cu Kα (λ = 1.5418 Å). Input: a crystal structure in Alexandria, relaxed with PBE.

Crystal structure
```
26
Lattice="3.891 0.000 0.000 0.000 3.953 0.000 0.000 0.000 23.834" Properties=species:S:1:pos:R:3 pbc="T T T"
Ba 0.000 0.000 3.823
Ba 0.000 0.000 8.080
Ba 0.000 0.000 15.754
Ba 0.000 0.000 20.011
Pr 0.000 0.000 11.917
Nd 0.000 0.000 0.000
Cu 1.946 1.977 1.824
Cu 1.946 1.977 5.952
Cu 1.946 1.977 10.071
Cu 1.946 1.977 13.763
Cu 1.946 1.977 17.882
Cu 1.946 1.977 22.010
O 0.000 1.977 1.518
O 0.000 1.977 10.376
O 0.000 1.977 13.458
O 0.000 1.977 22.316
O 1.946 0.000 1.529
O 1.946 0.000 5.951
O 1.946 0.000 10.364
O 1.946 0.000 13.469
O 1.946 0.000 17.883
O 1.946 0.000 22.305
O 1.946 1.977 4.078
O 1.946 1.977 7.825
O 1.946 1.977 16.009
O 1.946 1.977 19.756
```

Principal peaks in the range 2θ = 5–70°, in order of rising 2θ:
d 2.802, I = 47
d 2.777, I = 100
d 2.274, I = 15
d 1.986, I = 11
d 1.977, I = 14
d 1.946, I = 14
d 1.615, I = 19
d 1.611, I = 20
d 1.598, I = 17
d 1.401, I = 7
d 1.390, I = 7
d 1.387, I = 8